Entry 1:
Simulated powder X-ray diffraction pattern of Mg9Sn5 for Cu Kα (λ = 1.5418 Å), from a DFT-relaxed cell (PBE, the Materials Project).
Lines closer than 0.1° are merged.

The 12 most intense peaks (2θ = 10–90°), sorted by position:
- d = 3.840 Å, I = 100
- d = 3.713 Å, I = 44
- d = 3.223 Å, I = 14
- d = 2.669 Å, I = 48
- d = 2.658 Å, I = 17
- d = 2.314 Å, I = 14
- d = 2.217 Å, I = 44
- d = 2.192 Å, I = 44
- d = 2.121 Å, I = 11
- d = 1.920 Å, I = 17
- d = 1.451 Å, I = 20
- d = 1.444 Å, I = 18

Atomic structure:
Cell lengths 8.8884, 8.8884, 8.8884 Å; angles 96.88, 96.88, 96.88 degrees
Fractional positions:
Mg 0.0193 0.3921 0.0891
Mg 0.0728 0.1647 0.7618
Mg 0.0744 0.7624 0.6697
Mg 0.0891 0.0193 0.3921
Mg 0.0932 0.4115 0.4952
Mg 0.1647 0.7618 0.0728
Mg 0.3406 0.7405 0.4232
Mg 0.3920 0.0891 0.0193
Mg 0.4115 0.4952 0.0932
Mg 0.4232 0.3406 0.7405
Mg 0.4441 0.7473 0.8167
Mg 0.4952 0.0932 0.4115
Mg 0.6697 0.0744 0.7624
Mg 0.7405 0.4232 0.3406
Mg 0.7473 0.8167 0.4441
Mg 0.7618 0.0728 0.1647
Mg 0.7624 0.6697 0.0744
Mg 0.8167 0.4441 0.7473
Sn 0.0059 0.6674 0.3301
Sn 0.0513 0.0513 0.0513
Sn 0.1675 0.5055 0.8295
Sn 0.2874 0.2874 0.2874
Sn 0.3301 0.0059 0.6674
Sn 0.5055 0.8295 0.1675
Sn 0.5516 0.5516 0.5516
Sn 0.6674 0.3301 0.0059
Sn 0.7878 0.7878 0.7878
Sn 0.8295 0.1675 0.5055

Entry 2:
Simulated powder X-ray diffraction pattern of TbErO3 for Cu Kα (λ = 1.5418 Å), from a DFT-relaxed cell (PBE, the Materials Project).
Lines closer than 0.1° are merged.

The 9 most intense peaks (2θ = 10–90°), sorted by position:
- d = 4.250 Å, I = 1
- d = 3.005 Å, I = 100
- d = 2.454 Å, I = 1
- d = 2.125 Å, I = 28
- d = 1.735 Å, I = 42
- d = 1.503 Å, I = 18
- d = 1.344 Å, I = 18
- d = 1.227 Å, I = 6
- d = 1.136 Å, I = 22

Atomic structure:
Cell lengths 4.2498, 4.2498, 4.2498 Å; angles 90.00, 90.00, 90.00 degrees
Fractional positions:
Tb 0.0000 0.0000 0.0000
Er 0.5000 0.5000 0.5000
O 0.0000 0.5000 0.5000
O 0.5000 0.0000 0.5000
O 0.5000 0.5000 0.0000

Entry 3:
Simulated powder X-ray diffraction pattern of Mg for Cu Kα (λ = 1.5418 Å), from a DFT-relaxed cell (PBE, the Materials Project).
Lines closer than 0.1° are merged.

The 12 most intense peaks (2θ = 10–90°), sorted by position:
- d = 2.774 Å, I = 8
- d = 2.679 Å, I = 44
- d = 2.580 Å, I = 35
- d = 2.444 Å, I = 100
- d = 2.160 Å, I = 23
- d = 1.889 Å, I = 5
- d = 1.656 Å, I = 10
- d = 1.602 Å, I = 23
- d = 1.462 Å, I = 19
- d = 1.375 Å, I = 5
- d = 1.361 Å, I = 26
- d = 1.340 Å, I = 14

Atomic structure:
Cell lengths 3.2037, 3.2037, 10.3213 Å; angles 90.00, 90.00, 120.00 degrees
Fractional positions:
Mg 0.0000 0.0000 0.0000
Mg 0.0000 0.0000 0.5000
Mg 0.3333 0.6667 0.2500
Mg 0.6667 0.3333 0.7500

Entry 4:
Simulated powder X-ray diffraction pattern of Li2MnN for Cu Kα (λ = 1.5418 Å), from a DFT-relaxed cell (PBE, the Materials Project).
Lines closer than 0.1° are merged.

The 12 most intense peaks (2θ = 10–90°), sorted by position:
- d = 3.809 Å, I = 11
- d = 3.254 Å, I = 100
- d = 2.474 Å, I = 49
- d = 1.904 Å, I = 10
- d = 1.879 Å, I = 27
- d = 1.644 Å, I = 21
- d = 1.627 Å, I = 10
- d = 1.496 Å, I = 10
- d = 1.337 Å, I = 16
- d = 1.237 Å, I = 7
- d = 1.230 Å, I = 7
- d = 1.170 Å, I = 9

Atomic structure:
Cell lengths 3.7572, 3.7572, 3.8088 Å; angles 90.00, 90.00, 120.00 degrees
Fractional positions:
Li 0.3333 0.6667 0.0000
Li 0.6667 0.3333 0.0000
Mn 0.0000 0.0000 0.5000
N 0.0000 0.0000 0.0000

Entry 5:
Simulated powder X-ray diffraction pattern of Na2TiInP3O12 for Cu Kα (λ = 1.5418 Å), from a DFT-relaxed cell (PBE, the Materials Project).
Lines closer than 0.1° are merged.

The 12 most intense peaks (2θ = 10–90°), sorted by position:
- d = 6.350 Å, I = 54
- d = 4.531 Å, I = 66
- d = 4.444 Å, I = 66
- d = 3.820 Å, I = 67
- d = 3.169 Å, I = 27
- d = 2.860 Å, I = 100
- d = 2.583 Å, I = 15
- d = 2.572 Å, I = 16
- d = 2.564 Å, I = 30
- d = 1.908 Å, I = 26
- d = 1.776 Å, I = 23
- d = 1.678 Å, I = 15

Atomic structure:
Cell lengths 8.8992, 8.8992, 9.0597 Å; angles 119.36, 119.36, 59.79 degrees
Fractional positions:
Na 0.1107 0.8893 0.5000
Na 0.4984 0.9954 0.7475
Na 0.8893 0.1107 0.0000
Na 0.9954 0.4984 0.2475
Ti 0.1485 0.6339 0.6949
Ti 0.6339 0.1485 0.1949
In 0.3573 0.8459 0.3024
In 0.8459 0.3573 0.8024
P 0.0351 0.2519 0.4948
P 0.2519 0.0351 0.9948
P 0.4479 0.5394 0.5006
P 0.5394 0.4479 0.0006
P 0.7537 0.9534 0.5071
P 0.9534 0.7537 0.0071
O 0.0048 0.7222 0.8463
O 0.0161 0.2656 0.6599
O 0.0544 0.4300 0.5222
O 0.0870 0.2134 0.9794
O 0.1095 0.7891 0.1826
O 0.2134 0.0870 0.4794
O 0.2203 0.8642 0.8249
O 0.2656 0.0161 0.1599
O 0.2723 0.5529 0.5129
O 0.3653 0.4948 0.8354
O 0.4055 0.7200 0.4812
O 0.4300 0.0544 0.0222
O 0.4948 0.3653 0.3354
O 0.5250 0.6092 0.1709
O 0.5529 0.2723 0.0129
O 0.5922 0.9207 0.4880
O 0.6092 0.5250 0.6709
O 0.7200 0.4055 0.9812
O 0.7222 0.0048 0.3463
O 0.7776 0.9307 0.0140
O 0.7891 0.1095 0.6826
O 0.8642 0.2203 0.3249
O 0.9207 0.5922 0.9880
O 0.9307 0.7776 0.5140

Entry 6:
Simulated powder X-ray diffraction pattern of BaSrYSbO6 for Cu Kα (λ = 1.5418 Å), from a DFT-relaxed cell (PBE, the Materials Project).
Lines closer than 0.1° are merged.

The 12 most intense peaks (2θ = 10–90°), sorted by position:
- d = 4.887 Å, I = 5
- d = 2.993 Å, I = 100
- d = 2.552 Å, I = 2
- d = 2.444 Å, I = 3
- d = 2.116 Å, I = 32
- d = 1.728 Å, I = 40
- d = 1.629 Å, I = 1
- d = 1.496 Å, I = 20
- d = 1.431 Å, I = 1
- d = 1.338 Å, I = 18
- d = 1.222 Å, I = 6
- d = 1.131 Å, I = 21

Atomic structure:
Cell lengths 5.9858, 5.9858, 5.9858 Å; angles 60.00, 60.00, 60.00 degrees
Fractional positions:
Ba 0.0000 0.0000 0.0000
Sr 0.5000 0.5000 0.5000
Y 0.2500 0.2500 0.2500
Sb 0.7500 0.7500 0.7500
O 0.5131 0.5131 0.9869
O 0.5131 0.9869 0.5131
O 0.5131 0.9869 0.9869
O 0.9869 0.5131 0.5131
O 0.9869 0.5131 0.9869
O 0.9869 0.9869 0.5131

Entry 7:
Simulated powder X-ray diffraction pattern of NaB3SeO7 for Cu Kα (λ = 1.5418 Å), from a DFT-relaxed cell (PBE, the Materials Project).
Lines closer than 0.1° are merged.

The 12 most intense peaks (2θ = 10–90°), sorted by position:
- d = 8.039 Å, I = 100
- d = 4.329 Å, I = 50
- d = 4.150 Å, I = 20
- d = 3.950 Å, I = 61
- d = 3.811 Å, I = 59
- d = 3.687 Å, I = 18
- d = 3.352 Å, I = 60
- d = 2.946 Å, I = 36
- d = 2.588 Å, I = 18
- d = 2.258 Å, I = 28
- d = 2.098 Å, I = 16
- d = 2.031 Å, I = 21

Atomic structure:
Cell lengths 4.5889, 16.0788, 8.7595 Å; angles 90.00, 98.75, 90.00 degrees
Fractional positions:
Na 0.1762 0.1082 0.4584
Na 0.1762 0.3918 0.9584
Na 0.8238 0.6082 0.0416
Na 0.8238 0.8918 0.5416
B 0.0134 0.2383 0.7306
B 0.0134 0.2617 0.2306
B 0.0160 0.1823 0.9852
B 0.0160 0.3177 0.4852
B 0.1712 0.5947 0.7426
B 0.1712 0.9053 0.2426
B 0.8288 0.0947 0.7574
B 0.8288 0.4053 0.2574
B 0.9840 0.6823 0.5148
B 0.9840 0.8177 0.0148
B 0.9866 0.7383 0.7694
B 0.9866 0.7617 0.2694
Se 0.3434 0.5117 0.2843
Se 0.3434 0.9883 0.7843
Se 0.6566 0.0117 0.2157
Se 0.6566 0.4883 0.7157
O 0.0249 0.5178 0.7932
O 0.0249 0.9822 0.2932
O 0.0587 0.1929 0.1436
O 0.0587 0.3071 0.6436
O 0.0847 0.2473 0.8909
O 0.0847 0.2527 0.3909
O 0.0867 0.6080 0.5751
O 0.0867 0.8920 0.0751
O 0.1016 0.6665 0.8338
O 0.1016 0.8335 0.3338
O 0.3807 0.5851 0.1565
O 0.3807 0.9149 0.6565
O 0.4938 0.5802 0.7863
O 0.4938 0.9198 0.2863
O 0.5062 0.0802 0.7137
O 0.5062 0.4198 0.2137
O 0.6193 0.0851 0.3435
O 0.6193 0.4149 0.8435
O 0.8984 0.1665 0.6662
O 0.8984 0.3335 0.1662
O 0.9133 0.1080 0.9249
O 0.9133 0.3920 0.4249
O 0.9153 0.7473 0.6091
O 0.9153 0.7527 0.1091
O 0.9413 0.6929 0.3564
O 0.9413 0.8071 0.8564
O 0.9751 0.0178 0.7068
O 0.9751 0.4822 0.2068

Entry 8:
Simulated powder X-ray diffraction pattern of BaSrHf4O12 for Cu Kα (λ = 1.5418 Å), from a DFT-relaxed cell (PBE, the Materials Project).
Lines closer than 0.1° are merged.

The 12 most intense peaks (2θ = 10–90°), sorted by position:
- d = 4.783 Å, I = 15
- d = 4.142 Å, I = 50
- d = 2.929 Å, I = 100
- d = 2.498 Å, I = 8
- d = 2.071 Å, I = 31
- d = 1.852 Å, I = 22
- d = 1.691 Å, I = 42
- d = 1.464 Å, I = 19
- d = 1.381 Å, I = 9
- d = 1.310 Å, I = 12
- d = 1.196 Å, I = 6
- d = 1.107 Å, I = 19

Atomic structure:
Cell lengths 8.2839, 5.8579, 5.8579 Å; angles 89.91, 90.00, 90.00 degrees
Fractional positions:
Ba 0.0000 0.0000 0.0000
Sr 0.5000 0.4818 0.4818
Hf 0.2518 0.4948 0.9898
Hf 0.2518 0.9898 0.4948
Hf 0.7482 0.4948 0.9898
Hf 0.7482 0.9898 0.4948
O 0.0000 0.5049 0.9832
O 0.0000 0.9832 0.5049
O 0.2450 0.2536 0.2536
O 0.2524 0.2309 0.7543
O 0.2524 0.7543 0.2309
O 0.2780 0.7216 0.7216
O 0.5000 0.0259 0.4805
O 0.5000 0.4805 0.0259
O 0.7220 0.7216 0.7216
O 0.7476 0.2309 0.7543
O 0.7476 0.7543 0.2309
O 0.7550 0.2536 0.2536

Entry 9:
Simulated powder X-ray diffraction pattern of Zn2CoN2 for Cu Kα (λ = 1.5418 Å), from a DFT-relaxed cell (PBE, the Materials Project).
Lines closer than 0.1° are merged.

The 12 most intense peaks (2θ = 10–90°), sorted by position:
- d = 2.983 Å, I = 35
- d = 2.737 Å, I = 32
- d = 2.731 Å, I = 84
- d = 2.462 Å, I = 100
- d = 2.404 Å, I = 52
- d = 2.356 Å, I = 52
- d = 1.869 Å, I = 31
- d = 1.853 Å, I = 41
- d = 1.813 Å, I = 41
- d = 1.578 Å, I = 38
- d = 1.468 Å, I = 22
- d = 1.359 Å, I = 25

Atomic structure:
Cell lengths 5.9234, 5.9234, 7.3295 Å; angles 123.48, 123.48, 36.46 degrees
Fractional positions:
Zn 0.0506 0.0506 0.3429
Zn 0.3109 0.3109 0.2135
Zn 0.6891 0.6891 0.7865
Zn 0.9494 0.9494 0.6571
Co 0.3753 0.3753 0.8860
Co 0.6247 0.6247 0.1140
N 0.1724 0.1724 0.6771
N 0.4986 0.4986 0.1949
N 0.5014 0.5014 0.8051
N 0.8276 0.8276 0.3229

Entry 10:
Simulated powder X-ray diffraction pattern of In2CuSe3Br for Cu Kα (λ = 1.5418 Å), from a DFT-relaxed cell (PBE, the Materials Project).
Lines closer than 0.1° are merged.

The 12 most intense peaks (2θ = 10–90°), sorted by position:
- d = 5.277 Å, I = 19
- d = 5.220 Å, I = 12
- d = 3.409 Å, I = 99
- d = 3.389 Å, I = 100
- d = 3.282 Å, I = 22
- d = 2.565 Å, I = 17
- d = 2.089 Å, I = 72
- d = 2.081 Å, I = 21
- d = 2.070 Å, I = 44
- d = 1.787 Å, I = 15
- d = 1.780 Å, I = 20
- d = 1.777 Å, I = 14

Atomic structure:
Cell lengths 5.8410, 5.9006, 7.2043 Å; angles 114.03, 113.35, 90.27 degrees
Fractional positions:
In 0.0000 0.0000 0.0000
In 0.2804 0.7295 0.4573
Cu 0.5595 0.4501 0.0056
Se 0.4302 0.3338 0.2391
Se 0.6497 0.1289 0.7217
Se 0.8589 0.8489 0.2400
Br 0.1494 0.5943 0.7361